Record 1
Diffraction record for LiAc2Se3. The X-ray diffraction stick pattern is calculated, not measured: it uses a DFT-relaxed cell (PBE, Alexandria) and Cu Kα.
Lines closer than 0.1° are merged.

The 10 most intense peaks (5 to 70 degrees two-theta), most intense first:
2θ (°), I_rel
35.6, 100
28.2, 84
19.3, 59
21.2, 45
26.5, 35
37.6, 34
30.2, 32
32.0, 26
43.2, 25
43.5, 23

a b c (Å): 8.9720 8.9720 8.9720
angles (deg): 152.88 149.04 41.62
Positions (direct):
Li: 0.0000 0.0000 0.0000
Ac: 0.3594 0.3594 0.0000
Ac: 0.6406 0.6406 0.0000
Se: 0.1709 0.1709 0.0000
Se: 0.5000 0.0000 0.5000
Se: 0.8291 0.8291 0.0000

Record 2
Diffraction record for LiAc4Se5. The X-ray diffraction stick pattern is calculated, not measured: it uses a DFT-relaxed cell (PBE, Alexandria) and Cu Kα.
Lines closer than 0.1° are merged.

The 10 most intense peaks (5 to 70 degrees two-theta), most intense first:
2θ (°), I_rel
28.7, 100
40.6, 42
41.5, 32
5.0, 21
50.5, 21
24.6, 21
66.7, 19
68.0, 12
59.4, 11
37.2, 11

a b c (Å): 17.7661 17.7661 17.7661
angles (deg): 14.38 14.38 14.38
Positions (direct):
Li: 0.0000 0.0000 0.0000
Ac: 0.2014 0.2014 0.2014
Ac: 0.3951 0.3951 0.3951
Ac: 0.6049 0.6049 0.6049
Ac: 0.7986 0.7986 0.7986
Se: 0.0968 0.0968 0.0968
Se: 0.3046 0.3046 0.3046
Se: 0.5000 0.5000 0.5000
Se: 0.6954 0.6954 0.6954
Se: 0.9032 0.9032 0.9032

Record 3
Diffraction record for LiAc5Se8. The X-ray diffraction stick pattern is calculated, not measured: it uses a DFT-relaxed cell (PBE, Alexandria) and Cu Kα.
Lines closer than 0.1° are merged.

The 10 most intense peaks (5 to 70 degrees two-theta), most intense first:
2θ (°), I_rel
30.3, 100
36.0, 52
35.8, 46
23.4, 43
30.0, 39
23.2, 28
13.4, 28
45.5, 21
43.4, 19
61.3, 19

a b c (Å): 8.0952 8.0952 8.0952
angles (deg): 109.78 109.78 108.86
Positions (direct):
Li: 0.0000 0.0000 0.0000
Ac: 0.1185 0.2409 0.6186
Ac: 0.2500 0.7500 0.5000
Ac: 0.5001 0.8815 0.1224
Ac: 0.6224 0.4999 0.3814
Ac: 0.7591 0.3776 0.8776
Se: 0.0266 0.6363 0.7528
Se: 0.2327 0.4879 0.1009
Se: 0.3637 0.1165 0.3903
Se: 0.3870 0.1318 0.8991
Se: 0.5121 0.6130 0.7448
Se: 0.7263 0.9734 0.6097
Se: 0.8682 0.7673 0.2552
Se: 0.8835 0.2737 0.2472

Record 4
Diffraction record for LiAcSmSe3. The X-ray diffraction stick pattern is calculated, not measured: it uses a DFT-relaxed cell (PBE, Alexandria) and Cu Kα.
Lines closer than 0.1° are merged.

The 10 most intense peaks (5 to 70 degrees two-theta), most intense first:
2θ (°), I_rel
30.0, 100
20.9, 27
30.3, 27
39.1, 25
10.0, 22
41.2, 22
23.6, 21
20.0, 20
39.3, 19
43.4, 18

a b c (Å): 8.7650 4.1707 9.1152
angles (deg): 90.00 103.64 90.00
Positions (direct):
Li: 0.0878 0.2500 0.0880
Li: 0.9122 0.7500 0.9120
Ac: 0.1871 0.2500 0.7273
Ac: 0.8129 0.7500 0.2727
Sm: 0.3372 0.7500 0.3423
Sm: 0.6628 0.2500 0.6577
Se: 0.0998 0.2500 0.3677
Se: 0.2109 0.7500 0.0058
Se: 0.4343 0.7500 0.6775
Se: 0.5657 0.2500 0.3225
Se: 0.7891 0.2500 0.9942
Se: 0.9002 0.7500 0.6323

Record 5
Diffraction record for Li3Ac2USe6. The X-ray diffraction stick pattern is calculated, not measured: it uses a DFT-relaxed cell (PBE, Alexandria) and Cu Kα.
Lines closer than 0.1° are merged.

The 10 most intense peaks (5 to 70 degrees two-theta), most intense first:
2θ (°), I_rel
29.6, 100
13.5, 86
23.9, 52
30.4, 46
44.2, 41
41.7, 39
24.3, 30
33.0, 30
51.9, 30
41.1, 20

a b c (Å): 7.5782 7.5782 6.9564
angles (deg): 99.54 99.54 120.84
Positions (direct):
Li: 0.0000 0.0000 0.0000
Li: 0.3584 0.6416 0.0000
Li: 0.6416 0.3584 0.0000
Ac: 0.1690 0.8310 0.5000
Ac: 0.8310 0.1690 0.5000
U: 0.5000 0.5000 0.5000
Se: 0.1041 0.4171 0.2362
Se: 0.2608 0.2608 0.7582
Se: 0.4171 0.1041 0.2362
Se: 0.5829 0.8959 0.7638
Se: 0.7392 0.7392 0.2418
Se: 0.8959 0.5829 0.7638

Record 6
Diffraction record for LiAc4Si2. The X-ray diffraction stick pattern is calculated, not measured: it uses a DFT-relaxed cell (PBE, Alexandria) and Cu Kα.
Lines closer than 0.1° are merged.

The 10 most intense peaks (5 to 70 degrees two-theta), most intense first:
2θ (°), I_rel
22.5, 100
28.3, 76
29.4, 73
29.2, 67
22.1, 67
34.8, 63
25.7, 62
48.2, 58
34.5, 55
45.9, 40

a b c (Å): 8.4426 8.4426 9.6220
angles (deg): 124.73 124.73 69.49
Positions (direct):
Li: 0.1255 0.1255 0.3758
Li: 0.8745 0.8745 0.6242
Ac: 0.1178 0.2695 0.1209
Ac: 0.2667 0.6211 0.7694
Ac: 0.2691 0.1183 0.7670
Ac: 0.3789 0.7333 0.2306
Ac: 0.6208 0.2668 0.6182
Ac: 0.7305 0.8822 0.8791
Ac: 0.7332 0.3792 0.3818
Ac: 0.8817 0.7309 0.2330
Si: 0.9998 0.5004 0.8746
Si: 0.3745 0.6255 0.5000
Si: 0.4996 0.0002 0.1254
Si: 0.6250 0.3750 0.0000

Record 7
Diffraction record for LiAc3Si. The X-ray diffraction stick pattern is calculated, not measured: it uses a DFT-relaxed cell (PBE, Alexandria) and Cu Kα.
Lines closer than 0.1° are merged.

The 10 most intense peaks (5 to 70 degrees two-theta), most intense first:
2θ (°), I_rel
29.0, 100
22.3, 56
23.3, 46
24.2, 40
27.9, 36
35.3, 36
29.8, 36
31.0, 32
46.1, 31
16.4, 25

a b c (Å): 11.0825 6.4083 10.1861
angles (deg): 90.00 94.01 90.00
Positions (direct):
Li: 0.1078 0.1066 0.4841
Li: 0.1078 0.3934 0.9841
Li: 0.8922 0.6066 0.0159
Li: 0.8922 0.8934 0.5159
Ac: 0.0514 0.5633 0.3261
Ac: 0.0514 0.9367 0.8261
Ac: 0.2728 0.6836 0.6109
Ac: 0.2728 0.8164 0.1109
Ac: 0.3940 0.2383 0.3660
Ac: 0.3940 0.2617 0.8660
Ac: 0.6060 0.7383 0.1340
Ac: 0.6060 0.7617 0.6340
Ac: 0.7272 0.1836 0.8891
Ac: 0.7272 0.3164 0.3891
Ac: 0.9486 0.0633 0.1739
Ac: 0.9486 0.4367 0.6739
Si: 0.4322 0.7289 0.3708
Si: 0.4322 0.7711 0.8708
Si: 0.5678 0.2289 0.1292
Si: 0.5678 0.2711 0.6292

Record 8
Diffraction record for Li6AcSi2. The X-ray diffraction stick pattern is calculated, not measured: it uses a DFT-relaxed cell (PBE, Alexandria) and Cu Kα.
Lines closer than 0.1° are merged.

The 10 most intense peaks (5 to 70 degrees two-theta), most intense first:
2θ (°), I_rel
10.1, 100
22.2, 38
29.9, 37
28.4, 34
36.6, 24
28.1, 24
34.8, 22
19.7, 19
49.8, 15
20.2, 15

a b c (Å): 4.4985 4.4985 8.7989
angles (deg): 90.00 90.00 90.00
Positions (direct):
Li: 0.0000 0.0000 0.0000
Li: 0.0000 0.5000 0.2075
Li: 0.0000 0.5000 0.7925
Li: 0.5000 0.0000 0.2075
Li: 0.5000 0.0000 0.7925
Li: 0.5000 0.5000 0.0000
Ac: 0.0000 0.0000 0.5000
Si: 0.5000 0.5000 0.3616
Si: 0.5000 0.5000 0.6384

Record 9
Diffraction record for Li2AcSi. The X-ray diffraction stick pattern is calculated, not measured: it uses a DFT-relaxed cell (PBE, Alexandria) and Cu Kα.
Lines closer than 0.1° are merged.

The 10 most intense peaks (5 to 70 degrees two-theta), most intense first:
2θ (°), I_rel
31.2, 100
21.3, 99
32.8, 53
20.0, 45
23.9, 44
18.2, 35
45.0, 29
50.7, 28
21.4, 24
46.4, 23

a b c (Å): 10.0108 10.0108 10.0108
angles (deg): 153.42 122.74 64.21
Positions (direct):
Li: 0.0732 0.0732 0.0000
Li: 0.1321 0.3032 0.8289
Li: 0.4005 0.9005 0.5000
Li: 0.4742 0.3032 0.1711
Li: 0.5258 0.6968 0.8289
Li: 0.5995 0.0995 0.5000
Li: 0.8679 0.6968 0.1711
Li: 0.9268 0.9268 0.0000
Ac: 0.2043 0.7043 0.5000
Ac: 0.2661 0.5000 0.7661
Ac: 0.7339 0.5000 0.2339
Ac: 0.7957 0.2957 0.5000
Si: 0.0927 0.8572 0.2356
Si: 0.3784 0.1428 0.2356
Si: 0.6216 0.8572 0.7644
Si: 0.9073 0.1428 0.7644

Record 10
Diffraction record for LiAcSi. The X-ray diffraction stick pattern is calculated, not measured: it uses a DFT-relaxed cell (PBE, Alexandria) and Cu Kα.
Lines closer than 0.1° are merged.

The 10 most intense peaks (5 to 70 degrees two-theta), most intense first:
2θ (°), I_rel
23.1, 100
27.5, 67
32.0, 46
46.1, 35
37.7, 32
39.3, 28
51.5, 25
25.3, 20
12.6, 19
55.9, 19

a b c (Å): 4.5876 4.5876 7.0484
angles (deg): 90.00 90.00 90.00
Positions (direct):
Li: 0.2500 0.7500 0.0000
Li: 0.7500 0.2500 0.0000
Ac: 0.2500 0.2500 0.3156
Ac: 0.7500 0.7500 0.6844
Si: 0.2500 0.2500 0.7844
Si: 0.7500 0.7500 0.2156

Record 11
Diffraction record for Li2AcSm2Sn2. The X-ray diffraction stick pattern is calculated, not measured: it uses a DFT-relaxed cell (PBE, Alexandria) and Cu Kα.
Lines closer than 0.1° are merged.

The 10 most intense peaks (5 to 70 degrees two-theta), most intense first:
2θ (°), I_rel
32.8, 100
21.2, 91
36.7, 84
30.4, 73
50.1, 31
63.6, 31
61.8, 27
48.4, 21
62.2, 20
56.0, 17

a b c (Å): 9.9109 9.9109 9.9109
angles (deg): 28.61 28.61 28.61
Positions (direct):
Li: 0.0840 0.0840 0.0840
Li: 0.9160 0.9160 0.9160
Ac: 0.5000 0.5000 0.5000
Sm: 0.3682 0.3682 0.3682
Sm: 0.6318 0.6318 0.6318
Sn: 0.2434 0.2434 0.2434
Sn: 0.7566 0.7566 0.7566

Record 12
Diffraction record for Li6AcSn12. The X-ray diffraction stick pattern is calculated, not measured: it uses a DFT-relaxed cell (PBE, Alexandria) and Cu Kα.
Lines closer than 0.1° are merged.

The 10 most intense peaks (5 to 70 degrees two-theta), most intense first:
2θ (°), I_rel
30.2, 100
30.7, 56
44.4, 36
24.1, 25
23.8, 20
43.7, 17
36.6, 17
55.6, 16
55.5, 16
39.6, 15

a b c (Å): 8.1553 8.1553 8.1553
angles (deg): 105.08 105.08 105.08
Positions (direct):
Li: 0.2852 0.7090 0.7090
Li: 0.2910 0.2910 0.7148
Li: 0.2910 0.7148 0.2910
Li: 0.7090 0.2852 0.7090
Li: 0.7090 0.7090 0.2852
Li: 0.7148 0.2910 0.2910
Ac: 0.0000 0.0000 0.0000
Sn: 0.1136 0.5000 0.8864
Sn: 0.1136 0.8864 0.5000
Sn: 0.1469 0.3933 0.3933
Sn: 0.3933 0.1469 0.3933
Sn: 0.3933 0.3933 0.1469
Sn: 0.5000 0.1136 0.8864
Sn: 0.5000 0.8864 0.1136
Sn: 0.6067 0.6067 0.8531
Sn: 0.6067 0.8531 0.6067
Sn: 0.8531 0.6067 0.6067
Sn: 0.8864 0.1136 0.5000
Sn: 0.8864 0.5000 0.1136